The following is a theoretical powder XRD pattern of Pu3Ga3Co2. It was derived from the PBE geometry in Alexandria, using a wavelength of 1.5418 Å.

Crystal structure
a = 7.9206 Å, b = 7.9206 Å, c = 4.7050 Å
α = 100.11°, β = 100.11°, γ = 31.89°
Fractional coordinates of all 8 atoms:
Pu: 0.0000 0.0000 0.0000
Pu: 0.1577 0.1577 0.5673
Pu: 0.8423 0.8423 0.4327
Ga: 0.3608 0.3608 0.9411
Ga: 0.5000 0.5000 0.5000
Ga: 0.6392 0.6392 0.0589
Co: 0.2136 0.2136 0.0956
Co: 0.7864 0.7864 0.9044

Principal peaks in the range 10 to 90 degrees two-theta, sorted by position:
- 21.26°, d = 4.179 Å, rel. 53
- 27.78°, d = 3.211 Å, rel. 23
- 31.48°, d = 2.841 Å, rel. 76
- 35.39°, d = 2.536 Å, rel. 100
- 35.98°, d = 2.496 Å, rel. 38
- 36.41°, d = 2.467 Å, rel. 22
- 38.69°, d = 2.327 Å, rel. 36
- 38.94°, d = 2.313 Å, rel. 29
- 41.50°, d = 2.176 Å, rel. 44
- 43.76°, d = 2.069 Å, rel. 25
- 56.07°, d = 1.640 Å, rel. 22
- 66.67°, d = 1.403 Å, rel. 18

The following is a theoretical powder XRD pattern of Ac3Ag4Pb4. It was derived from the PBE geometry in Alexandria, using a wavelength of 1.5418 Å.

Crystal structure
a = 9.4381 Å, b = 9.4381 Å, c = 9.4381 Å
α = 149.41°, β = 131.84°, γ = 58.13°
Fractional coordinates of all 11 atoms:
Ac: 0.0000 0.0000 0.0000
Ac: 0.3679 0.8679 0.5000
Ac: 0.6321 0.1321 0.5000
Ag: 0.0207 0.3321 0.6886
Ag: 0.3565 0.6679 0.6886
Ag: 0.6435 0.3321 0.3114
Ag: 0.9793 0.6679 0.3114
Pb: 0.2172 0.2172 0.0000
Pb: 0.3019 0.5000 0.8019
Pb: 0.6981 0.5000 0.1981
Pb: 0.7828 0.7828 0.0000

Principal peaks in the range 10 to 90 degrees two-theta, sorted by position:
- 29.45°, d = 3.033 Å, rel. 24
- 29.83°, d = 2.995 Å, rel. 95
- 30.44°, d = 2.936 Å, rel. 100
- 32.56°, d = 2.750 Å, rel. 21
- 36.08°, d = 2.489 Å, rel. 46
- 38.71°, d = 2.326 Å, rel. 24
- 40.30°, d = 2.238 Å, rel. 29
- 41.04°, d = 2.199 Å, rel. 15
- 47.22°, d = 1.925 Å, rel. 22
- 53.95°, d = 1.700 Å, rel. 18
- 58.77°, d = 1.571 Å, rel. 19
- 67.60°, d = 1.386 Å, rel. 19

The following is a theoretical powder XRD pattern of I3O. It was derived from the PBE geometry in Alexandria, using a wavelength of 1.5418 Å.

Crystal structure
a = 7.4069 Å, b = 7.4069 Å, c = 7.4069 Å
α = 120.11°, β = 120.11°, γ = 89.81°
Fractional coordinates of all 8 atoms:
I: 0.0000 0.0000 0.0000
I: 0.0000 0.0000 0.5000
I: 0.0000 0.5000 0.0000
I: 0.3750 0.6250 0.7500
I: 0.5000 0.0000 0.5000
I: 0.6250 0.3750 0.2500
O: 0.1250 0.8750 0.2500
O: 0.8750 0.1250 0.7500

Principal peaks in the range 10 to 90 degrees two-theta, sorted by position:
- 14.66°, d = 6.044 Å, rel. 10
- 24.04°, d = 3.701 Å, rel. 38
- 28.27°, d = 3.157 Å, rel. 100
- 29.56°, d = 3.022 Å, rel. 46
- 42.29°, d = 2.137 Å, rel. 16
- 44.95°, d = 2.017 Å, rel. 19
- 45.04°, d = 2.013 Å, rel. 19
- 49.23°, d = 1.851 Å, rel. 40
- 57.75°, d = 1.597 Å, rel. 13
- 58.37°, d = 1.581 Å, rel. 7
- 58.53°, d = 1.577 Å, rel. 13
- 68.91°, d = 1.363 Å, rel. 13

The following is a theoretical powder XRD pattern of Ho5TcTe2. It was derived from the PBE geometry in Alexandria, using a wavelength of 1.5418 Å.

Crystal structure
a = 8.3749 Å, b = 8.3749 Å, c = 13.4169 Å
α = 90.00°, β = 90.00°, γ = 141.04°
Fractional coordinates of all 16 atoms:
Ho: 0.0521 0.9479 0.6082
Ho: 0.0521 0.9479 0.8918
Ho: 0.2761 0.7239 0.6006
Ho: 0.2761 0.7239 0.8994
Ho: 0.3157 0.6843 0.2500
Ho: 0.6843 0.3157 0.7500
Ho: 0.7239 0.2761 0.1006
Ho: 0.7239 0.2761 0.3994
Ho: 0.9479 0.0521 0.1082
Ho: 0.9479 0.0521 0.3918
Tc: 0.1600 0.8400 0.7500
Tc: 0.8400 0.1600 0.2500
Te: 0.1546 0.8454 0.0926
Te: 0.1546 0.8454 0.4074
Te: 0.8454 0.1546 0.5926
Te: 0.8454 0.1546 0.9074

Principal peaks in the range 10 to 90 degrees two-theta, sorted by position:
- 11.21°, d = 7.895 Å, rel. 57
- 16.83°, d = 5.266 Å, rel. 80
- 22.85°, d = 3.891 Å, rel. 35
- 26.14°, d = 3.408 Å, rel. 27
- 30.20°, d = 2.960 Å, rel. 100
- 31.63°, d = 2.829 Å, rel. 28
- 32.04°, d = 2.793 Å, rel. 76
- 33.27°, d = 2.693 Å, rel. 41
- 38.44°, d = 2.342 Å, rel. 79
- 40.33°, d = 2.236 Å, rel. 27
- 44.61°, d = 2.031 Å, rel. 69
- 52.42°, d = 1.746 Å, rel. 25